(1)
Tb2PrIrO8: theoretical XRD peak list (Cu Kα, 1.54184 Å), based on a DFT-relaxed cell (GGA-PBE, Alexandria).
Neutral-atom scattering factors, no anomalous dispersion.

Principal peaks in the range 2θ from 10° to 90°, by angle:
- 2θ 24.6, intensity 53.8, (1 0 -1)
- 2θ 24.8, intensity 54.5, (1 0 1)
- 2θ 31.2, intensity 100.0, (1 2 0)
- 2θ 35.2, intensity 29.3, (0 0 2)
- 2θ 47.6, intensity 37.2, (2 2 -1)
- 2θ 47.8, intensity 38.4, (2 2 1)
- 2θ 59.1, intensity 19.1, (1 4 1)
- 2θ 60.6, intensity 10.7, (0 2 3)
- 2θ 60.7, intensity 10.6, (3 2 0)
- 2θ 65.0, intensity 11.7, (0 4 2)

Cell and atoms:
Cell lengths 5.0974, 6.9366, 5.1089 Å; angles 90.00, 90.39, 90.00 degrees
Element x y z (fractional)
Tb  0.0000  0.2499  0.0000
Tb  0.0000  0.7501  0.0000
Pr  0.5000  0.0000  0.5000
Ir  0.5000  0.5000  0.5000
O  0.1841  0.0000  0.8170
O  0.2360  0.5000  0.7653
O  0.3134  0.2977  0.3151
O  0.3134  0.7023  0.3151
O  0.6866  0.2977  0.6849
O  0.6866  0.7023  0.6849
O  0.7640  0.5000  0.2347
O  0.8159  0.0000  0.1830

---

(2)
PrTl2IrO8: theoretical XRD peak list (Cu Kα, 1.54184 Å), based on a DFT-relaxed cell (GGA-PBE, Alexandria).
Neutral-atom scattering factors, no anomalous dispersion.

Principal peaks in the range 2θ from 10° to 90°, by angle:
- 2θ 24.4, intensity 100.0, (1 -1 0)
- 2θ 24.8, intensity 87.8, (1 1 0)
- 2θ 30.5, intensity 51.1, (0 1 -2)
- 2θ 30.9, intensity 44.9, (1 0 -2)
- 2θ 31.9, intensity 38.3, (1 0 2)
- 2θ 32.3, intensity 42.7, (0 1 2)
- 2θ 35.1, intensity 25.5, (0 2 0)
- 2θ 35.2, intensity 30.3, (2 0 0)
- 2θ 46.7, intensity 36.0, (1 -2 2)
- 2θ 48.4, intensity 17.3, (-1 2 2)

Cell and atoms:
Cell lengths 5.1070, 5.1239, 6.8791 Å; angles 93.33, 91.96, 90.82 degrees
Element x y z (fractional)
Pr  0.0000  0.0000  0.0000
Tl  0.4783  0.4682  0.7478
Tl  0.5217  0.5318  0.2522
Ir  0.0000  0.0000  0.5000
O  0.1417  0.7850  0.2907
O  0.1670  0.8100  0.6978
O  0.3015  0.2398  0.4963
O  0.3553  0.2782  0.0208
O  0.6447  0.7218  0.9792
O  0.6985  0.7602  0.5037
O  0.8330  0.1900  0.3022
O  0.8583  0.2150  0.7093